1.
Computed XRD peak list of Be2ZnCo for CuKα, from the PBE geometry in OQMD.
Kinematic intensities with the Lorentz-polarization factor, no thermal factor.

Atomic structure:
```
data_Be2ZnCo
_chemical_formula_sum 'Be2 Zn1 Co1'
_symmetry_space_group_name_H-M 'P 1'
_symmetry_Int_Tables_number 1
_symmetry_space_group_name_Hall 'P 1'
_cell_length_a 3.8428
_cell_length_b 3.8428
_cell_length_c 3.8428
_cell_angle_alpha 60.00
_cell_angle_beta 60.00
_cell_angle_gamma 60.00
loop_
_atom_site_label
_atom_site_type_symbol
_atom_site_fract_x
_atom_site_fract_y
_atom_site_fract_z
Be1 Be 0.0000 0.0000 0.0000
Be2 Be 0.2500 0.2500 0.2500
Zn1 Zn 0.7500 0.7500 0.7500
Co1 Co 0.5000 0.5000 0.5000
```

Top 6 peaks for 2θ = 10–80°, in order of rising 2θ:
2theta, I/Imax
28.45, 98
32.96, 1
47.31, 100
56.13, 41
69.14, 15
76.39, 15

---

2.
Computed XRD peak list of Cs2Hg3Pd2S8 for CuKα, from the PBE geometry in OQMD.
Kinematic intensities with the Lorentz-polarization factor, no thermal factor.

Atomic structure:
```
data_Cs2Hg3Pd2S8
_chemical_formula_sum 'Cs2 Hg3 Pd2 S8'
_symmetry_space_group_name_H-M 'P 1'
_symmetry_Int_Tables_number 1
_symmetry_space_group_name_Hall 'P 1'
_cell_length_a 6.7690
_cell_length_b 7.8562
_cell_length_c 9.4831
_cell_angle_alpha 102.95
_cell_angle_beta 95.33
_cell_angle_gamma 111.18
loop_
_atom_site_label
_atom_site_type_symbol
_atom_site_fract_x
_atom_site_fract_y
_atom_site_fract_z
Cs1 Cs 0.1136 0.4402 0.2462
Cs2 Cs 0.8864 0.5598 0.7538
Hg1 Hg 0.3031 0.0277 0.3607
Hg2 Hg 0.5000 0.0000 0.0000
Hg3 Hg 0.6969 0.9723 0.6393
Pd1 Pd 0.2441 0.1843 0.7543
Pd2 Pd 0.7559 0.8157 0.2457
S1 S 0.0392 0.8382 0.1307
S2 S 0.2898 0.9181 0.6239
S3 S 0.3308 0.3140 0.5681
S4 S 0.4452 0.2801 0.9960
S5 S 0.5548 0.7199 0.0040
S6 S 0.6692 0.6860 0.4319
S7 S 0.7102 0.0819 0.3761
S8 S 0.9608 0.1618 0.8693
```

Top 12 peaks for 2θ = 10–80°, in order of rising 2θ:
2theta, I/Imax
12.58, 100
21.96, 61
22.55, 76
23.92, 76
25.30, 41
27.26, 31
28.61, 30
28.72, 24
28.98, 57
32.52, 28
33.28, 40
51.91, 25

---

3.
Computed XRD peak list of LaLuNO for CuKα, from the PBE geometry in OQMD.
Kinematic intensities with the Lorentz-polarization factor, no thermal factor.

Atomic structure:
```
data_LaLuNO
_chemical_formula_sum 'La2 Lu2 N2 O2'
_symmetry_space_group_name_H-M 'P 1'
_symmetry_Int_Tables_number 1
_symmetry_space_group_name_Hall 'P 1'
_cell_length_a 3.9793
_cell_length_b 7.1885
_cell_length_c 4.9445
_cell_angle_alpha 90.00
_cell_angle_beta 90.00
_cell_angle_gamma 90.00
loop_
_atom_site_label
_atom_site_type_symbol
_atom_site_fract_x
_atom_site_fract_y
_atom_site_fract_z
La1 La 0.0000 0.1602 0.0000
La2 La 0.0000 0.8398 0.5000
Lu1 Lu 0.5000 0.3447 0.5003
Lu2 Lu 0.5000 0.6553 0.0003
N1 N 0.5000 0.3512 0.9985
N2 N 0.5000 0.6488 0.4985
O1 O 0.0000 0.2166 0.5003
O2 O 0.0000 0.7834 0.0003
```

Top 12 peaks for 2θ = 10–80°, in order of rising 2θ:
2theta, I/Imax
24.77, 18
25.59, 53
30.75, 69
31.43, 100
36.34, 37
44.12, 39
44.97, 23
45.59, 19
56.01, 27
58.44, 34
59.65, 17
72.47, 18

---

4.
Computed XRD peak list of KGdCoS3 for CuKα, from the PBE geometry in OQMD.
Kinematic intensities with the Lorentz-polarization factor, no thermal factor.

Atomic structure:
```
data_KGdCoS3
_chemical_formula_sum 'K2 Gd2 Co2 S6'
_symmetry_space_group_name_H-M 'P 1'
_symmetry_Int_Tables_number 1
_symmetry_space_group_name_Hall 'P 1'
_cell_length_a 8.8000
_cell_length_b 3.8912
_cell_length_c 9.1433
_cell_angle_alpha 90.00
_cell_angle_beta 106.97
_cell_angle_gamma 90.00
loop_
_atom_site_label
_atom_site_type_symbol
_atom_site_fract_x
_atom_site_fract_y
_atom_site_fract_z
K1 K 0.1995 0.2500 0.2316
K2 K 0.8005 0.7500 0.7684
Gd1 Gd 0.3304 0.7500 0.8545
Gd2 Gd 0.6696 0.2500 0.1455
Co1 Co 0.0757 0.2500 0.5896
Co2 Co 0.9243 0.7500 0.4104
S1 S 0.1081 0.2500 0.8463
S2 S 0.1764 0.7500 0.5314
S3 S 0.4555 0.7500 0.1640
S4 S 0.5445 0.2500 0.8360
S5 S 0.8236 0.2500 0.4686
S6 S 0.8919 0.7500 0.1537
```

Top 12 peaks for 2θ = 10–80°, in order of rising 2θ:
2theta, I/Imax
12.28, 100
24.71, 14
25.55, 9
28.39, 11
30.71, 26
30.94, 31
31.31, 27
37.51, 17
41.05, 12
46.69, 10
47.07, 14
49.32, 9

---

5.
Computed XRD peak list of CoCuSbPt for CuKα, from the PBE geometry in OQMD.
Kinematic intensities with the Lorentz-polarization factor, no thermal factor.

Atomic structure:
```
data_CoCuSbPt
_chemical_formula_sum 'Co1 Cu1 Sb1 Pt1'
_symmetry_space_group_name_H-M 'P 1'
_symmetry_Int_Tables_number 1
_symmetry_space_group_name_Hall 'P 1'
_cell_length_a 4.3894
_cell_length_b 4.3894
_cell_length_c 4.3894
_cell_angle_alpha 60.00
_cell_angle_beta 60.00
_cell_angle_gamma 60.00
loop_
_atom_site_label
_atom_site_type_symbol
_atom_site_fract_x
_atom_site_fract_y
_atom_site_fract_z
Co1 Co 0.0000 0.0000 0.0000
Cu1 Cu 0.5000 0.5000 0.5000
Sb1 Sb 0.7500 0.7500 0.7500
Pt1 Pt 0.2500 0.2500 0.2500
```

Top 9 peaks for 2θ = 10–80°, in order of rising 2θ:
2theta, I/Imax
24.84, 6
28.76, 21
41.13, 100
48.65, 3
50.96, 6
59.57, 16
65.55, 1
67.48, 8
74.95, 33

---

6.
Computed XRD peak list of Li2GaGeAu2 for CuKα, from the PBE geometry in OQMD.
Kinematic intensities with the Lorentz-polarization factor, no thermal factor.

Atomic structure:
```
data_Li2GaGeAu2
_chemical_formula_sum 'Li2 Ga1 Ge1 Au2'
_symmetry_space_group_name_H-M 'P 1'
_symmetry_Int_Tables_number 1
_symmetry_space_group_name_Hall 'P 1'
_cell_length_a 4.4781
_cell_length_b 4.4781
_cell_length_c 5.7402
_cell_angle_alpha 90.00
_cell_angle_beta 90.00
_cell_angle_gamma 120.00
loop_
_atom_site_label
_atom_site_type_symbol
_atom_site_fract_x
_atom_site_fract_y
_atom_site_fract_z
Li1 Li 0.0000 0.0000 0.2486
Li2 Li 0.0000 0.0000 0.7514
Ga1 Ga 0.6667 0.3333 0.5000
Ge1 Ge 0.3333 0.6667 0.0000
Au1 Au 0.3333 0.6667 0.5000
Au2 Au 0.6667 0.3333 0.0000
```

Top 12 peaks for 2θ = 10–80°, in order of rising 2θ:
2theta, I/Imax
22.93, 94
27.76, 78
31.16, 61
39.04, 57
40.28, 100
49.62, 17
51.79, 90
57.35, 18
65.75, 15
72.39, 19
73.22, 17
79.30, 28

---

7.
Computed XRD peak list of CoSiMo4C2 for CuKα, from the PBE geometry in OQMD.
Kinematic intensities with the Lorentz-polarization factor, no thermal factor.

Atomic structure:
```
data_CoSiMo4C2
_chemical_formula_sum 'Co1 Si1 Mo4 C2'
_symmetry_space_group_name_H-M 'P 1'
_symmetry_Int_Tables_number 1
_symmetry_space_group_name_Hall 'P 1'
_cell_length_a 3.0664
_cell_length_b 3.0664
_cell_length_c 12.4650
_cell_angle_alpha 90.00
_cell_angle_beta 90.00
_cell_angle_gamma 120.00
loop_
_atom_site_label
_atom_site_type_symbol
_atom_site_fract_x
_atom_site_fract_y
_atom_site_fract_z
Co1 Co 0.0000 0.0000 0.0000
Si1 Si 0.6667 0.3333 0.5000
Mo1 Mo 0.0000 0.0000 0.3448
Mo2 Mo 0.0000 0.0000 0.6552
Mo3 Mo 0.6667 0.3333 0.1564
Mo4 Mo 0.6667 0.3333 0.8436
C1 C 0.3333 0.6667 0.2487
C2 C 0.3333 0.6667 0.7513
```

Top 12 peaks for 2θ = 10–80°, in order of rising 2θ:
2theta, I/Imax
14.21, 9
28.65, 7
33.75, 24
34.53, 12
40.31, 100
43.56, 15
56.22, 13
60.37, 21
62.83, 7
75.11, 15
77.35, 16
77.77, 10

---

8.
Computed XRD peak list of LaAuS2 for CuKα, from the PBE geometry in OQMD.
Kinematic intensities with the Lorentz-polarization factor, no thermal factor.

Atomic structure:
```
data_LaAuS2
_chemical_formula_sum 'La4 Au4 S8'
_symmetry_space_group_name_H-M 'P 1'
_symmetry_Int_Tables_number 1
_symmetry_space_group_name_Hall 'P 1'
_cell_length_a 6.2859
_cell_length_b 7.3616
_cell_length_c 7.9490
_cell_angle_alpha 90.00
_cell_angle_beta 90.18
_cell_angle_gamma 90.00
loop_
_atom_site_label
_atom_site_type_symbol
_atom_site_fract_x
_atom_site_fract_y
_atom_site_fract_z
La1 La 0.1624 0.0341 0.2510
La2 La 0.1624 0.4659 0.7510
La3 La 0.8376 0.5341 0.2490
La4 La 0.8376 0.9659 0.7490
Au1 Au 0.4930 0.7456 0.5017
Au2 Au 0.4930 0.7544 0.0017
Au3 Au 0.5070 0.2456 0.9983
Au4 Au 0.5070 0.2544 0.4983
S1 S 0.0728 0.7480 0.5000
S2 S 0.0728 0.7520 0.0000
S3 S 0.3880 0.0991 0.7457
S4 S 0.3880 0.4009 0.2457
S5 S 0.6120 0.5991 0.7543
S6 S 0.6120 0.9009 0.2543
S7 S 0.9272 0.2480 0.0000
S8 S 0.9272 0.2520 0.5000
```

Top 12 peaks for 2θ = 10–80°, in order of rising 2θ:
2theta, I/Imax
14.09, 39
21.70, 40
26.53, 59
28.09, 57
32.97, 32
33.17, 100
36.39, 21
36.50, 22
37.63, 39
44.22, 18
45.65, 24
54.46, 19

---

9.
Computed XRD peak list of Ho4C7 for CuKα, from the PBE geometry in OQMD.
Kinematic intensities with the Lorentz-polarization factor, no thermal factor.

Atomic structure:
```
data_Ho4C7
_chemical_formula_sum 'Ho8 C14'
_symmetry_space_group_name_H-M 'P 1'
_symmetry_Int_Tables_number 1
_symmetry_space_group_name_Hall 'P 1'
_cell_length_a 3.6807
_cell_length_b 13.6770
_cell_length_c 6.4152
_cell_angle_alpha 90.00
_cell_angle_beta 104.57
_cell_angle_gamma 90.00
loop_
_atom_site_label
_atom_site_type_symbol
_atom_site_fract_x
_atom_site_fract_y
_atom_site_fract_z
Ho1 Ho 0.0493 0.1630 0.1575
Ho2 Ho 0.0493 0.3370 0.6575
Ho3 Ho 0.3653 0.0546 0.7386
Ho4 Ho 0.3653 0.4454 0.2386
Ho5 Ho 0.6347 0.5546 0.7614
Ho6 Ho 0.6347 0.9454 0.2614
Ho7 Ho 0.9507 0.6630 0.3425
Ho8 Ho 0.9507 0.8370 0.8425
C1 C 0.0000 0.0000 0.0000
C2 C 0.0000 0.5000 0.5000
C3 C 0.2684 0.6045 0.0511
C4 C 0.2684 0.8955 0.5511
C5 C 0.3830 0.6969 0.0495
C6 C 0.3830 0.8031 0.5495
C7 C 0.4625 0.2151 0.9191
C8 C 0.4625 0.2849 0.4191
C9 C 0.5375 0.7151 0.5809
C10 C 0.5375 0.7849 0.0809
C11 C 0.6170 0.1969 0.4505
C12 C 0.6170 0.3031 0.9505
C13 C 0.7316 0.1045 0.4489
C14 C 0.7316 0.3955 0.9489
```

Top 12 peaks for 2θ = 10–80°, in order of rising 2θ:
2theta, I/Imax
24.22, 16
28.25, 28
28.73, 63
29.51, 19
29.83, 100
32.29, 36
32.64, 27
33.83, 39
34.61, 45
47.34, 18
50.04, 20
63.17, 16

---

10.
Computed XRD peak list of Y2Ho2CIBr2Cl2 for CuKα, from the PBE geometry in OQMD.
Kinematic intensities with the Lorentz-polarization factor, no thermal factor.

Atomic structure:
```
data_Y2Ho2CIBr2Cl2
_chemical_formula_sum 'Y2 Ho2 C1 I1 Br2 Cl2'
_symmetry_space_group_name_H-M 'P 1'
_symmetry_Int_Tables_number 1
_symmetry_space_group_name_Hall 'P 1'
_cell_length_a 9.0201
_cell_length_b 9.0201
_cell_length_c 8.4705
_cell_angle_alpha 102.96
_cell_angle_beta 102.96
_cell_angle_gamma 24.56
loop_
_atom_site_label
_atom_site_type_symbol
_atom_site_fract_x
_atom_site_fract_y
_atom_site_fract_z
Y1 Y 0.9996 0.9996 0.1917
Y2 Y 0.0004 0.0004 0.8083
Ho1 Ho 0.3617 0.3617 0.9271
Ho2 Ho 0.6383 0.6383 0.0729
C1 C 0.5000 0.5000 0.0000
I1 I 0.5000 0.5000 0.5000
Br1 Br 0.1716 0.1716 0.8432
Br2 Br 0.8284 0.8284 0.1568
Cl1 Cl 0.1603 0.1603 0.3047
Cl2 Cl 0.8397 0.8397 0.6953
```

Top 12 peaks for 2θ = 10–80°, in order of rising 2θ:
2theta, I/Imax
10.31, 21
10.73, 85
16.53, 18
21.04, 20
25.51, 17
28.72, 18
31.32, 62
31.46, 100
34.91, 28
44.78, 23
45.14, 22
47.39, 18

---

11.
Computed XRD peak list of ZnCu5As2 for CuKα, from the PBE geometry in OQMD.
Kinematic intensities with the Lorentz-polarization factor, no thermal factor.

Atomic structure:
```
data_ZnCu5As2
_chemical_formula_sum 'Zn1 Cu5 As2'
_symmetry_space_group_name_H-M 'P 1'
_symmetry_Int_Tables_number 1
_symmetry_space_group_name_Hall 'P 1'
_cell_length_a 4.2668
_cell_length_b 4.2668
_cell_length_c 6.0352
_cell_angle_alpha 90.00
_cell_angle_beta 90.00
_cell_angle_gamma 90.00
loop_
_atom_site_label
_atom_site_type_symbol
_atom_site_fract_x
_atom_site_fract_y
_atom_site_fract_z
Zn1 Zn 0.0000 0.0000 0.0000
Cu1 Cu 0.0000 0.5000 0.2506
Cu2 Cu 0.0000 0.5000 0.7494
Cu3 Cu 0.5000 0.0000 0.2506
Cu4 Cu 0.5000 0.0000 0.7494
Cu5 Cu 0.5000 0.5000 0.5000
As1 As 0.0000 0.0000 0.5000
As2 As 0.5000 0.5000 0.0000
```

Top 3 peaks for 2θ = 10–80°, in order of rising 2θ:
2theta, I/Imax
42.36, 100
61.46, 16
77.49, 30

---

12.
Computed XRD peak list of Cu7Hg2 for CuKα, from the PBE geometry in OQMD.
Kinematic intensities with the Lorentz-polarization factor, no thermal factor.

Atomic structure:
```
data_Cu7Hg2
_chemical_formula_sum 'Cu7 Hg2'
_symmetry_space_group_name_H-M 'P 1'
_symmetry_Int_Tables_number 1
_symmetry_space_group_name_Hall 'P 1'
_cell_length_a 2.7179
_cell_length_b 2.7179
_cell_length_c 30.2468
_cell_angle_alpha 90.00
_cell_angle_beta 90.00
_cell_angle_gamma 120.00
loop_
_atom_site_label
_atom_site_type_symbol
_atom_site_fract_x
_atom_site_fract_y
_atom_site_fract_z
Cu1 Cu 0.0000 0.0000 0.0000
Cu2 Cu 0.0000 0.0000 0.1943
Cu3 Cu 0.0000 0.0000 0.8057
Cu4 Cu 0.3333 0.6667 0.1296
Cu5 Cu 0.3333 0.6667 0.9353
Cu6 Cu 0.6667 0.3333 0.0647
Cu7 Cu 0.6667 0.3333 0.8704
Hg1 Hg 0.3333 0.6667 0.7200
Hg2 Hg 0.6667 0.3333 0.2800
```

Top 12 peaks for 2θ = 10–80°, in order of rising 2θ:
2theta, I/Imax
11.70, 52
14.64, 39
20.55, 33
26.52, 21
38.36, 32
39.31, 27
40.12, 42
41.15, 100
42.38, 22
47.14, 24
49.04, 55
69.13, 26